Ba11Cd8Bi14: calculated PXRD pattern (a wavelength of 1.5418 Å), based on a crystal structure in the Materials Project, relaxed with GGA-PBE.
Lines closer than 0.1° are merged.

The 12 most intense peaks (5° ≤ 2θ ≤ 70°), low angle first:
d = 3.739 Å, intensity 48
d = 3.596 Å, intensity 34
d = 3.328 Å, intensity 25
d = 3.253 Å, intensity 36
d = 3.240 Å, intensity 30
d = 3.138 Å, intensity 59
d = 3.115 Å, intensity 96
d = 3.076 Å, intensity 62
d = 2.865 Å, intensity 25
d = 2.827 Å, intensity 30
d = 2.513 Å, intensity 100
d = 2.422 Å, intensity 25

Crystal structure
Lattice parameters (Å, degrees): 14.607 14.607 17.209 91.38 91.38 19.81
Atoms (fractional coordinates):
Ba1 0.000 0.000 0.000
Ba2 0.118 0.118 0.160
Ba3 0.155 0.155 0.901
Ba4 0.247 0.247 0.702
Ba5 0.356 0.356 0.466
Ba6 0.491 0.491 0.634
Ba7 0.509 0.509 0.366
Ba8 0.644 0.644 0.534
Ba9 0.753 0.753 0.298
Ba10 0.845 0.845 0.099
Ba11 0.882 0.882 0.840
Cd1 0.094 0.094 0.685
Cd2 0.128 0.128 0.388
Cd3 0.297 0.297 0.959
Cd4 0.440 0.440 0.157
Cd5 0.560 0.560 0.843
Cd6 0.703 0.703 0.041
Cd7 0.872 0.872 0.612
Cd8 0.906 0.906 0.315
Bi1 0.010 0.010 0.791
Bi2 0.057 0.057 0.518
Bi3 0.229 0.229 0.460
Bi4 0.243 0.243 0.117
Bi5 0.351 0.351 0.261
Bi6 0.370 0.370 0.699
Bi7 0.406 0.406 0.987
Bi8 0.594 0.594 0.013
Bi9 0.630 0.630 0.301
Bi10 0.649 0.649 0.739
Bi11 0.757 0.757 0.883
Bi12 0.771 0.771 0.540
Bi13 0.943 0.943 0.482
Bi14 0.990 0.990 0.209

***

TaSeN: calculated PXRD pattern (a wavelength of 1.5418 Å), based on a crystal structure in the Materials Project, relaxed with GGA-PBE.
Lines closer than 0.1° are merged.

The 12 most intense peaks (5° ≤ 2θ ≤ 70°), low angle first:
d = 8.635 Å, intensity 100
d = 3.789 Å, intensity 68
d = 3.334 Å, intensity 44
d = 3.179 Å, intensity 30
d = 3.151 Å, intensity 23
d = 2.882 Å, intensity 32
d = 2.547 Å, intensity 24
d = 2.368 Å, intensity 32
d = 2.253 Å, intensity 25
d = 2.157 Å, intensity 31
d = 1.994 Å, intensity 22
d = 1.987 Å, intensity 26

Crystal structure
Lattice parameters (Å, degrees): 7.089 7.089 9.323 111.21 111.21 32.55
Atoms (fractional coordinates):
Ta1 0.105 0.105 0.113
Ta2 0.182 0.182 0.858
Ta3 0.818 0.818 0.142
Ta4 0.895 0.895 0.887
Se1 0.096 0.096 0.556
Se2 0.336 0.336 0.710
Se3 0.664 0.664 0.290
Se4 0.904 0.904 0.444
N1 0.042 0.042 0.876
N2 0.265 0.265 0.114
N3 0.735 0.735 0.886
N4 0.958 0.958 0.124

***

Pd3S: calculated PXRD pattern (a wavelength of 1.5418 Å), based on a crystal structure in the Materials Project, relaxed with GGA-PBE.
Lines closer than 0.1° are merged.

The 12 most intense peaks (5° ≤ 2θ ≤ 70°), low angle first:
d = 3.187 Å, intensity 35
d = 2.579 Å, intensity 100
d = 2.496 Å, intensity 57
d = 2.424 Å, intensity 95
d = 2.262 Å, intensity 53
d = 2.195 Å, intensity 24
d = 2.132 Å, intensity 72
d = 2.075 Å, intensity 65
d = 2.066 Å, intensity 42
d = 1.758 Å, intensity 25
d = 1.594 Å, intensity 27
d = 1.549 Å, intensity 25

Crystal structure
Lattice parameters (Å, degrees): 4.615 4.615 6.374 90.00 90.00 72.01
Atoms (fractional coordinates):
Pd1 0.000 0.000 0.000
Pd2 0.000 0.000 0.500
Pd3 0.151 0.457 0.750
Pd4 0.457 0.151 0.250
Pd5 0.543 0.849 0.750
Pd6 0.849 0.543 0.250
S1 0.311 0.689 0.250
S2 0.689 0.311 0.750